For BaGe2TeO8, a crystal structure in Alexandria, relaxed with PBE gives the computed PXRD pattern in this record (λ = 1.5418 Å (Cu Kα)).
Peak positions follow from Bragg's law for the DFT cell and can differ from measured ones.

Most intense lines, 5° ≤ 2θ ≤ 70°, low angle first:
2θ/deg	I (rel.)
10.87	21
19.31	44
21.38	44
21.89	31
22.50	31
28.86	100
29.76	55
32.46	43
36.29	63
45.94	22

Structure:
abc: 4.993 4.993 8.150
angles: 92.61 92.61 67.07
Element x y z (fractional)
Ba  0.000  0.000  0.000
Ge  0.363  0.363  0.702
Ge  0.637  0.637  0.298
Te  0.000  0.000  0.500
O  0.232  0.232  0.522
O  0.232  0.755  0.677
O  0.245  0.768  0.323
O  0.309  0.309  0.900
O  0.691  0.691  0.100
O  0.755  0.232  0.677
O  0.768  0.245  0.323
O  0.768  0.768  0.478